This entry pairs a crystal structure of Tb2MgSe4 with its calculated X-ray powder pattern. Radiation: a wavelength of 1.5418 Å. Structure: a cell relaxed with GGA-PBE.
Intensities are scaled so that the largest is 1000.

Cell and atoms:
Cell lengths 8.1731, 7.7608, 12.1305 Å; angles 90.00, 90.00, 90.00 degrees
Element x y z (fractional)
Tb (0.0557, 0.2500, 0.0222)
Tb (0.0584, 0.7500, 0.3120)
Tb (0.4416, 0.2500, 0.8120)
Tb (0.4443, 0.7500, 0.5222)
Tb (0.5557, 0.2500, 0.4778)
Tb (0.5584, 0.7500, 0.1880)
Tb (0.9416, 0.2500, 0.6880)
Tb (0.9443, 0.7500, 0.9778)
Mg (0.1764, 0.2500, 0.4045)
Mg (0.3236, 0.7500, 0.9045)
Mg (0.6764, 0.2500, 0.0955)
Mg (0.8236, 0.7500, 0.5955)
Se (0.1148, 0.7500, 0.5436)
Se (0.1283, 0.5022, 0.8421)
Se (0.1283, 0.9978, 0.8421)
Se (0.2316, 0.7500, 0.1124)
Se (0.2684, 0.2500, 0.6124)
Se (0.3717, 0.0022, 0.3421)
Se (0.3717, 0.4978, 0.3421)
Se (0.3852, 0.2500, 0.0436)
Se (0.6148, 0.7500, 0.9564)
Se (0.6283, 0.5022, 0.6579)
Se (0.6283, 0.9978, 0.6579)
Se (0.7316, 0.7500, 0.3876)
Se (0.7684, 0.2500, 0.8876)
Se (0.8717, 0.0022, 0.1579)
Se (0.8717, 0.4978, 0.1579)
Se (0.8852, 0.2500, 0.4564)

Main lines, most intense first (2θ from 10° to 90°):
2θ/deg, d/Å, I_rel, index
33.84, 2.649, 1000, 1 2 3
13.54, 6.537, 747, 0 1 1
35.70, 2.515, 746, 3 1 1
22.92, 3.880, 699, 0 2 0
32.67, 2.741, 594, 2 2 1
46.82, 1.940, 385, 0 4 0
29.43, 3.035, 353, 1 2 2
13.06, 6.778, 350, 1 0 1
49.14, 1.854, 306, 3 3 1
27.28, 3.269, 294, 0 2 2
31.46, 2.843, 274, 1 0 4
39.90, 2.259, 242, 3 0 3



This entry pairs a crystal structure of Li3Hg with its calculated X-ray powder pattern. Radiation: a wavelength of 1.5418 Å. Structure: a cell relaxed with GGA-PBE.
Intensities are scaled so that the largest is 1000.

Cell and atoms:
Cell lengths 6.5498, 6.5498, 6.5498 Å; angles 90.00, 90.00, 90.00 degrees
Element x y z (fractional)
Li (0.0000, 0.0000, 0.0000)
Li (0.0000, 0.5000, 0.5000)
Li (0.2500, 0.2500, 0.2500)
Li (0.2500, 0.2500, 0.7500)
Li (0.2500, 0.7500, 0.2500)
Li (0.2500, 0.7500, 0.7500)
Li (0.5000, 0.0000, 0.5000)
Li (0.5000, 0.5000, 0.0000)
Li (0.7500, 0.2500, 0.2500)
Li (0.7500, 0.2500, 0.7500)
Li (0.7500, 0.7500, 0.2500)
Li (0.7500, 0.7500, 0.7500)
Hg (0.0000, 0.0000, 0.5000)
Hg (0.0000, 0.5000, 0.0000)
Hg (0.5000, 0.0000, 0.0000)
Hg (0.5000, 0.5000, 0.5000)

Main lines, most intense first (2θ from 10° to 90°):
2θ/deg, d/Å, I_rel, index
23.53, 3.782, 1000, 1 1 1
45.95, 1.975, 529, 3 1 1
27.23, 3.275, 528, 2 0 0
38.89, 2.316, 513, 2 2 0
61.73, 1.503, 222, 3 3 1
63.52, 1.465, 204, 4 2 0
70.43, 1.337, 184, 4 2 2
88.27, 1.107, 180, 5 3 1
75.41, 1.261, 169, 5 1 1
48.12, 1.891, 154, 2 2 2
89.85, 1.092, 109, 6 0 0
56.17, 1.637, 89, 4 0 0